Starting from DFT lattice parameters and positions (GGA-PBE), the powder diffractogram of LaP12Ru4 was simulated for Cu Kα X-rays.
Lines closer than 0.1° are merged.

Structural model:
Cell lengths 8.112, 8.112, 8.112 Å; angles 90.00, 90.00, 90.00 degrees
Space group Im-3 (No. 204)
Inequivalent atoms, fractional coordinates:
La (0.000, 0.000, 0.000) (multiplicity 2)
P (0.000, 0.144, 0.358) (multiplicity 24)
Ru (0.250, 0.250, 0.250) (multiplicity 8)

The 10 most intense peaks (2θ = 5–70°), in order of rising 2θ:
index, 2θ (°), Rel. int.
1 1 0, 15.45, 15
2 0 0, 21.91, 21
2 2 0, 31.19, 100
3 1 0, 34.98, 45
2 2 2, 38.44, 10
3 2 1, 41.66, 31
4 0 0, 44.69, 15
4 2 0, 50.31, 30
4 2 2, 55.50, 55
4 1 3, 57.97, 23